Diffraction record for Ni2PbF6. The powder diffraction line list is theoretical, not measured: it uses a PBE+U-relaxed structure and Cu Kα X-rays.
Intensities are scaled so that the largest is 100.

Structural model:
a b c (Å): 5.3460 5.3460 5.2941
angles (deg): 90.00 90.00 120.00
Atoms (fractional coordinates):
Ni: 0.3333 0.6667 0.0000
Ni: 0.6667 0.3333 0.0000
Pb: 0.0000 0.0000 0.5000
F: 0.0000 0.3665 0.2100
F: 0.0000 0.6335 0.7900
F: 0.3665 0.0000 0.2100
F: 0.3665 0.3665 0.7900
F: 0.6335 0.0000 0.7900
F: 0.6335 0.6335 0.2100

Main lines, by angle (2θ from 10° to 80°):
index  Position (°2θ)  intensity
1 0 0  19.17  19
1 0 1  25.56  100
1 1 0  33.53  26
1 0 2  39.20  10
2 0 1  42.63  24
2 -1 2  48.39  35
3 -1 1  55.29  24
1 0 3  55.75  11
3 0 0  59.94  11
3 1 1  76.31  10